Starting from a structure optimized by DFT (PBE), the powder X-ray diffraction pattern of GaAgO2 was calculated for Cu Kα, 1.54184 Å.
Peak positions follow from Bragg's law for the DFT cell and can differ from measured ones.

Cell and atoms:
```
data_GaAgO2
_chemical_formula_sum 'Ga2 Ag2 O4'
_cell_length_a 3.0374
_cell_length_b 3.0374
_cell_length_c 12.5721
_cell_angle_alpha 90.00
_cell_angle_beta 90.00
_cell_angle_gamma 120.00
_symmetry_space_group_name_H-M 'P 63/m m c'
_symmetry_Int_Tables_number 194
_symmetry_space_group_name_Hall '-P 6c 2c'
loop_
_atom_site_label
_atom_site_type_symbol
_atom_site_fract_x
_atom_site_fract_y
_atom_site_fract_z
_atom_site_occupancy
Ga1 Ga 0.0000 0.0000 0.0000 1
Ag1 Ag 0.3333 0.6667 0.2500 1
O1 O 0.3333 0.6667 0.0805 1
```

The 8 most intense peaks (10 to 80 degrees two-theta), low angle first:
- d = 3.143 Å, intensity 67, hkl 0 0 4
- d = 2.575 Å, intensity 100, hkl 1 0 1
- d = 2.427 Å, intensity 99, hkl 1 0 2
- d = 2.228 Å, intensity 26, hkl 1 0 3
- d = 1.818 Å, intensity 34, hkl 1 0 5
- d = 1.639 Å, intensity 40, hkl 1 0 6
- d = 1.519 Å, intensity 34, hkl 1 1 0
- d = 1.367 Å, intensity 32, hkl 1 1 4